Record 1
# PrSi2Ag
Simulated PXRD pattern, Cu Ka. Input: a crystal structure in the Materials Project, relaxed with GGA-PBE.

Structure:
Lattice parameters (Å, degrees): 4.2890 17.6461 4.2498 90.00 90.00 90.00
Space group Cmcm (No. 63)
Inequivalent atoms, fractional coordinates:
Pr (0.0000, 0.0970, 0.2500) (multiplicity 4)
Si (0.0000, 0.3353, 0.2500) (multiplicity 4)
Si (0.0000, 0.4675, 0.2500) (multiplicity 4)
Ag (0.0000, 0.2484, 0.7500) (multiplicity 4)

Main lines, by intensity (2θ from 10° to 80°):
| Position (°2θ) | I_rel | hkl |
| --- | --- | --- |
| 33.36 | 1000 | 1 3 1 |
| 32.86 | 194 | 1 5 0 |
| 42.14 | 176 | 2 0 0 |
| 30.39 | 174 | 0 6 0 |
| 42.54 | 171 | 0 0 2 |
| 23.23 | 150 | 0 2 1 |
| 10.03 | 144 | 0 2 0 |
| 21.32 | 112 | 1 1 0 |
| 61.43 | 112 | 2 0 2 |
| 71.44 | 105 | 3 3 1 |

---

Record 2
# PrSiAg
Simulated PXRD pattern, Cu Ka. Input: a crystal structure in the Materials Project, relaxed with GGA-PBE.

Structure:
Lattice parameters (Å, degrees): 4.3906 4.3906 4.1617 90.00 90.00 120.00
Space group P-6m2 (No. 187)
Inequivalent atoms, fractional coordinates:
Pr (0.0000, 0.0000, 0.0000) (multiplicity 1)
Si (0.3333, 0.6667, 0.5000) (multiplicity 1)
Ag (0.6667, 0.3333, 0.5000) (multiplicity 1)

Main lines, by intensity (2θ from 10° to 80°):
| Position (°2θ) | I_rel | hkl |
| --- | --- | --- |
| 31.88 | 1000 | 1 0 1 |
| 41.12 | 392 | 1 1 0 |
| 61.39 | 233 | 1 1 2 |
| 52.95 | 233 | 2 0 1 |
| 23.40 | 219 | 1 0 0 |
| 69.15 | 205 | 2 1 1 |
| 43.49 | 111 | 0 0 2 |
| 72.54 | 89 | 1 0 3 |
| 74.92 | 64 | 3 0 0 |
| 49.96 | 58 | 1 0 2 |

---

Record 3
# PrSiAg
Simulated PXRD pattern, Cu Ka. Input: a crystal structure in the Materials Project, relaxed with GGA-PBE.

Structure:
Lattice parameters (Å, degrees): 4.2878 4.2878 15.2199 90.00 90.00 90.00
Space group I4_1md (No. 109)
Inequivalent atoms, fractional coordinates:
Pr (0.0000, 0.0000, 0.0000) (multiplicity 4)
Si (0.0000, 0.0000, 0.4186) (multiplicity 4)
Ag (0.0000, 0.0000, 0.5851) (multiplicity 4)

Main lines, by intensity (2θ from 10° to 80°):
| Position (°2θ) | I_rel | hkl |
| --- | --- | --- |
| 31.77 | 1000 | 1 1 2 |
| 36.19 | 506 | 1 0 5 |
| 27.23 | 414 | 1 0 3 |
| 42.15 | 364 | 2 0 0 |
| 56.74 | 268 | 2 1 5 |
| 46.85 | 235 | 1 0 7 |
| 70.55 | 192 | 3 1 2 |
| 64.83 | 174 | 2 1 7 |
| 50.91 | 146 | 2 1 3 |
| 61.13 | 118 | 2 2 0 |

---

Record 4
# PrAgSn
Simulated PXRD pattern, Cu Ka. Input: a crystal structure in the Materials Project, relaxed with GGA-PBE.

Structure:
Lattice parameters (Å, degrees): 4.8405 4.8405 7.7356 90.00 90.00 120.00
Space group P6_3mc (No. 186)
Inequivalent atoms, fractional coordinates:
Pr (0.0000, 0.0000, 0.0000) (multiplicity 2)
Ag (0.3333, 0.6667, 0.1985) (multiplicity 2)
Sn (0.3333, 0.6667, 0.7792) (multiplicity 2)

Main lines, by intensity (2θ from 10° to 80°):
| Position (°2θ) | I_rel | hkl |
| --- | --- | --- |
| 31.47 | 1000 | 1 0 2 |
| 37.15 | 762 | 1 1 0 |
| 49.46 | 282 | 2 0 2 |
| 63.45 | 266 | 2 1 2 |
| 61.36 | 174 | 1 1 4 |
| 41.10 | 159 | 1 0 3 |
| 66.97 | 134 | 3 0 0 |
| 24.15 | 86 | 1 0 1 |
| 79.15 | 85 | 2 2 0 |
| 64.17 | 81 | 1 0 5 |

---

Record 5
# Pr5AgSn3
Simulated PXRD pattern, Cu Ka. Input: a crystal structure in the Materials Project, relaxed with GGA-PBE.

Structure:
Lattice parameters (Å, degrees): 9.6520 9.6520 6.8404 90.00 90.00 120.00
Space group P6_3/mcm (No. 193)
Inequivalent atoms, fractional coordinates:
Pr (0.0000, 0.2739, 0.2500) (multiplicity 6)
Pr (0.3333, 0.6667, 0.0000) (multiplicity 4)
Ag (0.0000, 0.0000, 0.0000) (multiplicity 2)
Sn (0.0000, 0.3791, 0.7500) (multiplicity 6)

Main lines, by intensity (2θ from 10° to 80°):
| Position (°2θ) | I_rel | hkl |
| --- | --- | --- |
| 32.10 | 1000 | 3 0 0 |
| 31.18 | 274 | 2 1 1 |
| 46.03 | 160 | 2 2 2 |
| 49.32 | 138 | 2 1 3 |
| 63.87 | 129 | 3 0 4 |
| 57.24 | 100 | 4 1 2 |
| 63.42 | 91 | 5 1 1 |
| 41.11 | 68 | 3 1 1 |
| 60.12 | 56 | 4 2 1 |
| 53.59 | 55 | 0 0 4 |

---

Record 6
# Pr2TlAg
Simulated PXRD pattern, Cu Ka. Input: a crystal structure in the Materials Project, relaxed with GGA-PBE.

Structure:
Lattice parameters (Å, degrees): 7.7477 7.7477 7.7477 90.00 90.00 90.00
Space group Fm-3m (No. 225)
Inequivalent atoms, fractional coordinates:
Pr (0.2500, 0.2500, 0.2500) (multiplicity 8)
Tl (0.0000, 0.0000, 0.0000) (multiplicity 4)
Ag (0.0000, 0.0000, 0.5000) (multiplicity 4)

Main lines, by intensity (2θ from 10° to 80°):
| Position (°2θ) | I_rel | hkl |
| --- | --- | --- |
| 32.69 | 1000 | 2 2 0 |
| 58.35 | 379 | 4 2 2 |
| 46.91 | 183 | 4 0 0 |
| 78.00 | 162 | 6 2 0 |
| 68.51 | 117 | 4 4 0 |
| 19.85 | 46 | 1 1 1 |
| 38.54 | 28 | 3 1 1 |
| 51.41 | 13 | 3 3 1 |
| 72.12 | 10 | 5 3 1 |
| 62.27 | 10 | 5 1 1 |

---

Record 7
# AgPt
Simulated PXRD pattern, Cu Ka. Input: a crystal structure in the Materials Project, relaxed with GGA-PBE.

Structure:
Lattice parameters (Å, degrees): 2.8304 2.8304 14.2663 90.00 90.00 120.00
Space group R-3m (No. 166, hexagonal axes)
Inequivalent atoms, fractional coordinates:
Ag (0.0000, 0.0000, 0.0000) (multiplicity 3)
Pt (0.0000, 0.0000, 0.5000) (multiplicity 3)

Main lines, by intensity (2θ from 10° to 80°):
| Position (°2θ) | I_rel | hkl |
| --- | --- | --- |
| 38.85 | 1000 | 0 1 2 |
| 44.87 | 663 | 1 0 4 |
| 37.84 | 359 | 0 0 6 |
| 78.68 | 253 | 1 1 6 |
| 64.63 | 221 | 0 1 8 |
| 66.01 | 207 | 1 1 0 |
| 18.66 | 133 | 0 0 3 |
| 77.40 | 132 | 1 0 10 |
| 79.32 | 124 | 2 0 2 |
| 37.22 | 76 | 1 0 1 |

---

Record 8
# AgPt
Simulated PXRD pattern, Cu Ka. Input: a crystal structure in the Materials Project, relaxed with GGA-PBE.

Structure:
Lattice parameters (Å, degrees): 2.8263 2.8263 4.8002 90.00 90.00 120.00
Space group P-6m2 (No. 187)
Inequivalent atoms, fractional coordinates:
Ag (0.0000, 0.0000, 0.0000) (multiplicity 1)
Pt (0.6667, 0.3333, 0.5000) (multiplicity 1)

Main lines, by intensity (2θ from 10° to 80°):
| Position (°2θ) | I_rel | hkl |
| --- | --- | --- |
| 41.41 | 1000 | 1 0 1 |
| 37.47 | 287 | 0 0 2 |
| 36.72 | 274 | 1 0 0 |
| 70.29 | 207 | 1 0 3 |
| 78.55 | 198 | 1 1 2 |
| 53.47 | 189 | 1 0 2 |
| 66.12 | 161 | 1 1 0 |
| 18.48 | 106 | 0 0 1 |
| 79.94 | 32 | 0 0 4 |
| 78.09 | 31 | 2 0 0 |